# HoErBPb
Computed PXRD pattern, Cu Kα (weighted mean of Kα1 and Kα2). Input: a GGA-PBE-relaxed structure.
Peak positions follow from Bragg's law for the DFT cell and can differ from measured ones.

Structural model:
Cell: 3.670 3.670 16.602 Å, 90.00 90.00 120.00°
Element x y z (fractional)
Ho 0.333 0.667 0.410
Ho 0.667 0.333 0.590
Er 0.333 0.667 0.088
Er 0.667 0.333 0.912
B 0.000 0.000 0.000
B 0.000 0.000 0.500
Pb 0.333 0.667 0.751
Pb 0.667 0.333 0.249

The 10 most intense peaks (10° ≤ 2θ ≤ 90°), low angle first:
- d 3.178, 2θ = 28.1°, I = 23
- d 2.767, 2θ = 32.4°, I = 21
- d 2.756, 2θ = 32.5°, I = 100
- d 2.087, 2θ = 43.4°, I = 16
- d 1.835, 2θ = 49.7°, I = 21
- d 1.595, 2θ = 57.8°, I = 19
- d 1.528, 2θ = 60.6°, I = 39
- d 1.204, 2θ = 79.6°, I = 8
- d 1.174, 2θ = 82.1°, I = 15
- d 1.105, 2θ = 88.5°, I = 8